Entry 1:
Diffraction record for Ba2In9Rh3. The powder X-ray diffraction pattern is calculated, not measured: it uses a PBE-relaxed structure and λ = 1.5418 Å (Cu Kα).

Structural model:
```
data_Ba2In9Rh3
_chemical_formula_sum 'Ba8 In36 Rh12'
_space_group_name_H-M_alt 'C 1 2/c 1'
_space_group_IT_number 15
_space_group_name_Hall '-C 2yc'
_cell_length_a 14.6048
_cell_length_b 8.3478
_cell_length_c 11.9828
_cell_angle_alpha 90.00
_cell_angle_beta 114.24
_cell_angle_gamma 90.00
loop_
_atom_site_label
_atom_site_fract_x
_atom_site_fract_y
_atom_site_fract_z
_atom_site_occupancy
Ba1 0.1690 0.0824 0.2491 1
In1 0.0000 0.3624 0.2500 1
In2 0.0610 0.0826 0.9303 1
In3 0.0998 0.4149 0.0516 1
In4 0.1067 0.3115 0.7481 1
In5 0.2259 0.4170 0.4334 1
Rh1 0.0845 0.2467 0.5013 1
Rh2 0.2500 0.2500 0.0000 1
```

Top 10 peaks for 2θ = 10–80°, in order of falling intensity:
| two_theta | Rel. int. |
| --- | --- |
| 32.61 | 1000 |
| 37.22 | 793 |
| 32.46 | 493 |
| 36.93 | 417 |
| 32.77 | 406 |
| 40.84 | 247 |
| 39.44 | 189 |
| 64.29 | 168 |
| 50.37 | 167 |
| 50.05 | 163 |

=====

Entry 2:
Diffraction record for PbF3. The powder X-ray diffraction pattern is calculated, not measured: it uses a PBE-relaxed structure and λ = 1.5418 Å (Cu Kα).

Structural model:
```
data_PbF3
_chemical_formula_sum 'Pb4 F12'
_space_group_name_H-M_alt 'P 42/m c m'
_space_group_IT_number 132
_space_group_name_Hall '-P 4c 2c'
_cell_length_a 5.3795
_cell_length_b 5.3795
_cell_length_c 9.2129
_cell_angle_alpha 90.00
_cell_angle_beta 90.00
_cell_angle_gamma 90.00
loop_
_atom_site_label
_atom_site_fract_x
_atom_site_fract_y
_atom_site_fract_z
_atom_site_occupancy
Pb1 0.0000 0.0000 0.0000 1
Pb2 0.5000 0.5000 0.2500 1
F1 0.2043 0.2043 0.1549 1
F2 0.2803 0.2803 0.5000 1
```

Top 10 peaks for 2θ = 10–80°, in order of falling intensity:
| two_theta | Rel. int. |
| --- | --- |
| 25.46 | 1000 |
| 23.39 | 693 |
| 42.39 | 620 |
| 46.07 | 227 |
| 52.29 | 168 |
| 54.95 | 164 |
| 33.31 | 154 |
| 68.58 | 149 |
| 47.82 | 148 |
| 65.79 | 140 |

=====

Entry 3:
Diffraction record for PmPr3Hg12. The powder X-ray diffraction pattern is calculated, not measured: it uses a PBE-relaxed structure and λ = 1.5418 Å (Cu Kα).

Structural model:
```
data_PmPr3Hg12
_chemical_formula_sum 'Pm1 Pr3 Hg12'
_space_group_name_H-M_alt 'P 4/m m m'
_space_group_IT_number 123
_space_group_name_Hall '-P 4 2'
_cell_length_a 4.6888
_cell_length_b 4.6888
_cell_length_c 19.1295
_cell_angle_alpha 90.00
_cell_angle_beta 90.00
_cell_angle_gamma 90.00
loop_
_atom_site_label
_atom_site_fract_x
_atom_site_fract_y
_atom_site_fract_z
_atom_site_occupancy
Pm1 0.0000 0.0000 0.0000 1
Pr1 0.0000 0.0000 0.2486 1
Pr2 0.0000 0.0000 0.5000 1
Hg1 0.0000 0.5000 0.1232 1
Hg2 0.0000 0.5000 0.3744 1
Hg3 0.5000 0.5000 0.0000 1
Hg4 0.5000 0.5000 0.2486 1
Hg5 0.5000 0.5000 0.5000 1
```

Top 10 peaks for 2θ = 10–80°, in order of falling intensity:
| two_theta | Rel. int. |
| --- | --- |
| 32.87 | 1000 |
| 38.40 | 331 |
| 65.96 | 276 |
| 54.84 | 238 |
| 37.62 | 174 |
| 64.90 | 143 |
| 68.92 | 121 |
| 55.43 | 116 |
| 18.93 | 10 |
| 26.62 | 10 |